(1)
For GaPdCO, a structure optimized by DFT (PBE) gives the computed XRD peak list in this record (Cu Kα X-rays).
Kinematic intensities with the Lorentz-polarization factor, no thermal factor.

Crystal structure
```
GaPdCO
1.0
1.6449 0.9497 10.1511
-1.6449 0.9497 10.1511
0.0000 -1.8994 10.1511
Ga Pd C O
2 2 2 2
Direct
0.2374 0.2374 0.2374 Ga
0.7626 0.7626 0.7626 Ga
0.0000 0.0000 0.0000 Pd
0.5000 0.5000 0.5000 Pd
0.1214 0.1214 0.1214 C
0.8786 0.8786 0.8786 C
0.3010 0.3010 0.3010 O
0.6990 0.6990 0.6990 O
```

Largest 12 diffraction maxima, most intense first, 2θ = 10–90°:
| d_spacing | Position (°2θ) | I_rel |
| --- | --- | --- |
| 2.668 | 33.59 | 100 |
| 2.281 | 39.51 | 58 |
| 1.645 | 55.89 | 32 |
| 2.538 | 35.37 | 16 |
| 1.380 | 67.90 | 15 |
| 1.583 | 58.30 | 14 |
| 5.076 | 17.47 | 13 |
| 1.400 | 66.81 | 13 |
| 1.334 | 70.59 | 10 |
| 2.081 | 43.50 | 9 |
| 1.986 | 45.69 | 6 |
| 3.384 | 26.34 | 6 |

(2)
For CsPu2F8, a structure optimized by DFT (PBE) gives the computed XRD peak list in this record (Cu Kα X-rays).
Kinematic intensities with the Lorentz-polarization factor, no thermal factor.

Crystal structure
```
CsPu2F8
1.0
5.3910 0.0000 0.0000
0.0000 5.3910 0.0000
0.0000 0.0000 6.8401
Cs Pu F
1 2 8
Direct
0.0000 0.0000 0.0000 Cs
0.0000 0.5000 0.5000 Pu
0.5000 0.0000 0.5000 Pu
0.2514 0.2514 0.3123 F
0.2514 0.2514 0.6877 F
0.2514 0.7486 0.3123 F
0.2514 0.7486 0.6877 F
0.7486 0.2514 0.3123 F
0.7486 0.2514 0.6877 F
0.7486 0.7486 0.3123 F
0.7486 0.7486 0.6877 F
```

Largest 12 diffraction maxima, most intense first, 2θ = 10–90°:
| d_spacing | Position (°2θ) | I_rel |
| --- | --- | --- |
| 3.330 | 26.77 | 100 |
| 6.840 | 12.94 | 59 |
| 2.117 | 42.71 | 40 |
| 1.654 | 55.55 | 29 |
| 1.957 | 46.40 | 23 |
| 3.812 | 23.34 | 22 |
| 3.420 | 26.05 | 17 |
| 1.906 | 47.72 | 16 |
| 2.546 | 35.26 | 16 |
| 2.695 | 33.24 | 15 |
| 1.365 | 68.75 | 15 |
| 1.137 | 85.39 | 11 |

(3)
For Sc2Cu2SnPb, a structure optimized by DFT (PBE) gives the computed XRD peak list in this record (Cu Kα X-rays).
Kinematic intensities with the Lorentz-polarization factor, no thermal factor.

Crystal structure
```
Sc2Cu2SnPb
1.0
10.8752 0.0000 0.0000
0.0000 4.4385 0.0000
-3.6255 0.0000 10.2566
Sc Cu Sn Pb
8 8 4 4
Direct
0.0000 0.0000 0.0000 Sc
0.1221 0.5000 0.3748 Sc
0.2459 0.0000 0.7472 Sc
0.3751 0.5000 0.1287 Sc
0.4997 0.0000 0.5002 Sc
0.6248 0.5000 0.8723 Sc
0.7487 0.0000 0.2523 Sc
0.8725 0.5000 0.6237 Sc
0.1283 0.5000 0.1296 Cu
0.2440 0.0000 0.4950 Cu
0.3736 0.5000 0.8750 Cu
0.4991 0.0000 0.2549 Cu
0.6276 0.5000 0.6242 Cu
0.7491 0.0000 0.9956 Cu
0.8731 0.5000 0.3788 Cu
0.9938 0.0000 0.7452 Cu
0.2492 0.0000 0.2505 Sn
0.6238 0.5000 0.3755 Sn
0.7488 0.0000 0.7489 Sn
0.9977 0.0000 0.4993 Sn
0.1231 0.5000 0.8750 Pb
0.3736 0.5000 0.6237 Pb
0.4991 0.0000 0.0008 Pb
0.8738 0.5000 0.1254 Pb
```

Largest 12 diffraction maxima, most intense first, 2θ = 10–90°:
| d_spacing | Position (°2θ) | I_rel |
| --- | --- | --- |
| 2.220 | 40.64 | 100 |
| 3.625 | 24.56 | 60 |
| 1.282 | 73.95 | 33 |
| 3.139 | 28.43 | 32 |
| 1.893 | 48.06 | 31 |
| 1.570 | 58.83 | 16 |
| 1.440 | 64.71 | 13 |
| 1.404 | 66.61 | 12 |
| 1.110 | 87.98 | 11 |
| 1.208 | 79.28 | 10 |
| 1.813 | 50.34 | 9 |
| 4.074 | 21.82 | 1 |